# LaHo5Au6
Simulated X-ray powder pattern, Cu Kα, 1.54184 Å. Input: a structure optimized by DFT (GGA-PBE).
Neutral-atom scattering factors, no anomalous dispersion.

Atomic structure:
Cell: 5.1172 7.1974 8.1369 Å, 90.00 108.17 90.00°
Sites, in units of the cell vectors:
La (0.0000, 0.0000, 0.0000)
Ho (0.0000, 0.5000, 0.0000)
Ho (0.3308, 0.0000, 0.6630)
Ho (0.3340, 0.5000, 0.6696)
Ho (0.6660, 0.5000, 0.3304)
Ho (0.6692, 0.0000, 0.3370)
Au (0.1744, 0.2559, 0.3462)
Au (0.1744, 0.7441, 0.3462)
Au (0.5000, 0.2670, 0.0000)
Au (0.5000, 0.7330, 0.0000)
Au (0.8256, 0.2559, 0.6538)
Au (0.8256, 0.7441, 0.6538)

Principal peaks in the range 10° ≤ 2θ ≤ 90°, low angle first:
Position (°2θ)  intensity
34.81  202
35.10  1000
50.17  72
50.32  72
50.74  69
62.60  144
62.94  149
63.01  71
63.17  72
74.13  68

***

# La2Ho3Au4
Simulated X-ray powder pattern, Cu Kα, 1.54184 Å. Input: a structure optimized by DFT (GGA-PBE).
Neutral-atom scattering factors, no anomalous dispersion.

Atomic structure:
Cell: 7.8404 7.6621 8.5245 Å, 90.00 110.83 90.00°
Sites, in units of the cell vectors:
La (0.1922, 0.1707, 0.0909)
La (0.1922, 0.3293, 0.5909)
La (0.8078, 0.6707, 0.4091)
La (0.8078, 0.8293, 0.9091)
Ho (0.2457, 0.6508, 0.2512)
Ho (0.2457, 0.8492, 0.7512)
Ho (0.5000, 0.0000, 0.5000)
Ho (0.5000, 0.5000, 0.0000)
Ho (0.7543, 0.1508, 0.2488)
Ho (0.7543, 0.3492, 0.7488)
Au (0.0982, 0.5487, 0.8792)
Au (0.0982, 0.9513, 0.3792)
Au (0.4842, 0.6346, 0.6252)
Au (0.4842, 0.8654, 0.1252)
Au (0.5158, 0.1346, 0.8748)
Au (0.5158, 0.3654, 0.3748)
Au (0.9018, 0.0487, 0.6208)
Au (0.9018, 0.4513, 0.1208)

Principal peaks in the range 10° ≤ 2θ ≤ 90°, low angle first:
Position (°2θ)  intensity
29.05  308
30.27  218
31.38  672
31.69  227
32.79  1000
33.64  887
36.79  275
36.96  410
41.39  208
49.10  258

***

# Li8HoAu6
Simulated X-ray powder pattern, Cu Kα, 1.54184 Å. Input: a structure optimized by DFT (GGA-PBE).
Neutral-atom scattering factors, no anomalous dispersion.

Atomic structure:
Cell: 7.0467 7.0467 7.0467 Å, 69.12 69.12 69.12°
Sites, in units of the cell vectors:
Li (0.0197, 0.3983, 0.7171)
Li (0.1594, 0.1594, 0.1594)
Li (0.2829, 0.9803, 0.6017)
Li (0.3983, 0.7171, 0.0197)
Li (0.6017, 0.2829, 0.9803)
Li (0.7171, 0.0197, 0.3983)
Li (0.8406, 0.8406, 0.8406)
Li (0.9803, 0.6017, 0.2829)
Ho (0.5000, 0.5000, 0.5000)
Au (0.1065, 0.7947, 0.4557)
Au (0.2053, 0.5443, 0.8935)
Au (0.4557, 0.1065, 0.7947)
Au (0.5443, 0.8935, 0.2053)
Au (0.7947, 0.4557, 0.1065)
Au (0.8935, 0.2053, 0.5443)

Principal peaks in the range 10° ≤ 2θ ≤ 90°, low angle first:
Position (°2θ)  intensity
16.65  687
22.24  250
27.91  1000
39.03  610
40.72  659
42.70  393
48.66  219
57.67  233
64.06  188
71.84  238

***

# Li2HoAu3
Simulated X-ray powder pattern, Cu Kα, 1.54184 Å. Input: a structure optimized by DFT (GGA-PBE).
Neutral-atom scattering factors, no anomalous dispersion.

Atomic structure:
Cell: 4.5496 4.5496 12.4687 Å, 90.00 90.00 120.00°
Sites, in units of the cell vectors:
Li (0.0000, 0.0000, 0.0000)
Li (0.0000, 0.0000, 0.5000)
Li (0.3333, 0.6667, 0.1429)
Li (0.6667, 0.3333, 0.8571)
Ho (0.3333, 0.6667, 0.6800)
Ho (0.6667, 0.3333, 0.3200)
Au (0.0000, 0.0000, 0.2089)
Au (0.0000, 0.0000, 0.7911)
Au (0.3333, 0.6667, 0.4383)
Au (0.3333, 0.6667, 0.9229)
Au (0.6667, 0.3333, 0.0771)
Au (0.6667, 0.3333, 0.5617)

Principal peaks in the range 10° ≤ 2θ ≤ 90°, low angle first:
Position (°2θ)  intensity
23.68  334
26.77  729
31.28  221
36.76  1000
39.62  970
42.92  272
55.15  315
64.30  173
70.02  311
73.68  185

***

# LiHo2Au3
Simulated X-ray powder pattern, Cu Kα, 1.54184 Å. Input: a structure optimized by DFT (GGA-PBE).
Neutral-atom scattering factors, no anomalous dispersion.

Atomic structure:
Cell: 4.9616 4.9616 11.9301 Å, 90.00 90.00 120.00°
Sites, in units of the cell vectors:
Li (0.3333, 0.6667, 0.1691)
Li (0.6667, 0.3333, 0.8309)
Ho (0.0000, 0.0000, 0.0000)
Ho (0.0000, 0.0000, 0.5000)
Ho (0.3333, 0.6667, 0.6846)
Ho (0.6667, 0.3333, 0.3154)
Au (0.0000, 0.0000, 0.2501)
Au (0.0000, 0.0000, 0.7499)
Au (0.3333, 0.6667, 0.4222)
Au (0.3333, 0.6667, 0.9341)
Au (0.6667, 0.3333, 0.0659)
Au (0.6667, 0.3333, 0.5778)

Principal peaks in the range 10° ≤ 2θ ≤ 90°, low angle first:
Position (°2θ)  intensity
25.55  203
36.21  1000
36.68  895
52.49  324
65.13  184
65.43  336
66.35  164
76.85  116
88.31  158
89.15  158

***

# LiHo2AuO5
Simulated X-ray powder pattern, Cu Kα, 1.54184 Å. Input: a structure optimized by DFT (GGA-PBE).
Neutral-atom scattering factors, no anomalous dispersion.

Atomic structure:
Cell: 6.4806 6.4806 5.8674 Å, 90.00 90.00 90.00°
Sites, in units of the cell vectors:
Li (0.0000, 0.0000, 0.0000)
Li (0.5000, 0.5000, 0.0000)
Ho (0.1768, 0.3232, 0.5000)
Ho (0.3232, 0.8232, 0.5000)
Ho (0.6768, 0.1768, 0.5000)
Ho (0.8232, 0.6768, 0.5000)
Au (0.0000, 0.5000, 0.0000)
Au (0.5000, 0.0000, 0.0000)
O (0.0000, 0.0000, 0.5000)
O (0.1388, 0.6388, 0.2610)
O (0.1388, 0.6388, 0.7390)
O (0.3612, 0.1388, 0.2610)
O (0.3612, 0.1388, 0.7390)
O (0.5000, 0.5000, 0.5000)
O (0.6388, 0.8612, 0.2610)
O (0.6388, 0.8612, 0.7390)
O (0.8612, 0.3612, 0.2610)
O (0.8612, 0.3612, 0.7390)

Principal peaks in the range 10° ≤ 2θ ≤ 90°, low angle first:
Position (°2θ)  intensity
15.10  222
19.37  796
24.65  260
30.47  422
30.85  232
31.54  1000
34.52  557
39.32  219
43.91  424
46.96  565

***

# LiHoPbAu
Simulated X-ray powder pattern, Cu Kα, 1.54184 Å. Input: a structure optimized by DFT (GGA-PBE).
Neutral-atom scattering factors, no anomalous dispersion.

Atomic structure:
Cell: 5.0160 5.0160 5.0160 Å, 60.00 60.00 60.00°
Sites, in units of the cell vectors:
Li (0.0000, 0.0000, 0.0000)
Ho (0.5000, 0.5000, 0.5000)
Pb (0.2500, 0.2500, 0.2500)
Au (0.7500, 0.7500, 0.7500)

Principal peaks in the range 10° ≤ 2θ ≤ 90°, low angle first:
Position (°2θ)  intensity
21.70  180
25.11  205
35.80  1000
42.25  96
44.23  64
51.53  180
58.16  87
64.34  372
75.87  117
86.84  173

***

# Li2HoZn2Au2
Simulated X-ray powder pattern, Cu Kα, 1.54184 Å. Input: a structure optimized by DFT (GGA-PBE).
Neutral-atom scattering factors, no anomalous dispersion.

Atomic structure:
Cell: 4.5214 4.5214 7.7354 Å, 107.08 107.08 59.75°
Sites, in units of the cell vectors:
Li (0.1417, 0.1417, 0.4242)
Li (0.8583, 0.8583, 0.5758)
Ho (0.0000, 0.0000, 0.0000)
Zn (0.4229, 0.4229, 0.2653)
Zn (0.5771, 0.5771, 0.7347)
Au (0.2600, 0.2600, 0.7810)
Au (0.7400, 0.7400, 0.2190)

Principal peaks in the range 10° ≤ 2θ ≤ 90°, low angle first:
Position (°2θ)  intensity
12.16  455
24.46  232
28.07  1000
36.86  499
39.88  582
40.03  288
40.30  287
47.33  178
65.90  171
72.65  170

***

# LiHoZnAu
Simulated X-ray powder pattern, Cu Kα, 1.54184 Å. Input: a structure optimized by DFT (GGA-PBE).
Neutral-atom scattering factors, no anomalous dispersion.

Atomic structure:
Cell: 4.8033 4.8033 4.8033 Å, 60.00 60.00 60.00°
Sites, in units of the cell vectors:
Li (0.0000, 0.0000, 0.0000)
Ho (0.5000, 0.5000, 0.5000)
Zn (0.7500, 0.7500, 0.7500)
Au (0.2500, 0.2500, 0.2500)

Principal peaks in the range 10° ≤ 2θ ≤ 90°, low angle first:
Position (°2θ)  intensity
22.67  504
26.24  67
37.45  1000
44.22  270
54.00  174
59.30  115
67.56  355
72.27  87
79.88  112
84.35  91

***

# HoLuAu
Simulated X-ray powder pattern, Cu Kα, 1.54184 Å. Input: a structure optimized by DFT (GGA-PBE).
Neutral-atom scattering factors, no anomalous dispersion.

Atomic structure:
Cell: 4.9082 4.9082 4.9082 Å, 60.00 60.00 60.00°
Sites, in units of the cell vectors:
Ho (0.0000, 0.0000, 0.0000)
Lu (0.5000, 0.5000, 0.5000)
Au (0.2500, 0.2500, 0.2500)

Principal peaks in the range 10° ≤ 2θ ≤ 90°, low angle first:
Position (°2θ)  intensity
22.18  323
25.67  85
36.62  1000
43.23  176
52.75  177
57.91  75
65.93  365
77.85  115
82.15  57
89.24  171

***

# HoMgAu4
Simulated X-ray powder pattern, Cu Kα, 1.54184 Å. Input: a structure optimized by DFT (GGA-PBE).
Neutral-atom scattering factors, no anomalous dispersion.

Atomic structure:
Cell: 5.1448 5.1448 7.1882 Å, 109.75 109.75 41.74°
Sites, in units of the cell vectors:
Ho (0.0000, 0.0000, 0.0000)
Mg (0.0000, 0.0000, 0.5000)
Au (0.3364, 0.3364, 0.1821)
Au (0.3385, 0.3385, 0.6590)
Au (0.6615, 0.6615, 0.3410)
Au (0.6636, 0.6636, 0.8179)

Principal peaks in the range 10° ≤ 2θ ≤ 90°, low angle first:
Position (°2θ)  intensity
34.96  882
38.91  1000
39.47  316
49.75  168
50.81  146
64.92  149
65.28  146
65.42  137
66.14  132
83.53  153

***

# PmHoMg2Au4
Simulated X-ray powder pattern, Cu Kα, 1.54184 Å. Input: a structure optimized by DFT (GGA-PBE).
Neutral-atom scattering factors, no anomalous dispersion.

Atomic structure:
Cell: 8.5495 8.5495 8.5495 Å, 33.64 33.64 33.64°
Sites, in units of the cell vectors:
Pm (0.0000, 0.0000, 0.0000)
Ho (0.5000, 0.5000, 0.5000)
Mg (0.2494, 0.2494, 0.2494)
Mg (0.7506, 0.7506, 0.7506)
Au (0.1285, 0.1285, 0.1285)
Au (0.3782, 0.3782, 0.3782)
Au (0.6218, 0.6218, 0.6218)
Au (0.8715, 0.8715, 0.8715)

Principal peaks in the range 10° ≤ 2θ ≤ 90°, low angle first:
Position (°2θ)  intensity
22.02  119
25.48  169
36.35  1000
42.90  64
52.34  176
59.09  68
65.36  274
65.51  85
88.38  85
88.50  79

***

# YHo2MgAu4
Simulated X-ray powder pattern, Cu Kα, 1.54184 Å. Input: a structure optimized by DFT (GGA-PBE).
Neutral-atom scattering factors, no anomalous dispersion.

Atomic structure:
Cell: 8.6921 8.6921 8.6921 Å, 33.35 33.35 33.35°
Sites, in units of the cell vectors:
Y (0.0000, 0.0000, 0.0000)
Ho (0.2451, 0.2451, 0.2451)
Ho (0.7549, 0.7549, 0.7549)
Mg (0.5000, 0.5000, 0.5000)
Au (0.1233, 0.1233, 0.1233)
Au (0.3734, 0.3734, 0.3734)
Au (0.6266, 0.6266, 0.6266)
Au (0.8767, 0.8767, 0.8767)

Principal peaks in the range 10° ≤ 2θ ≤ 90°, low angle first:
Position (°2θ)  intensity
25.19  196
35.84  992
36.01  1000
51.72  351
64.30  172
64.63  361
64.74  183
76.37  115
87.05  157
87.34  166

***

# HoMgZn2Au2
Simulated X-ray powder pattern, Cu Kα, 1.54184 Å. Input: a structure optimized by DFT (GGA-PBE).
Neutral-atom scattering factors, no anomalous dispersion.

Atomic structure:
Cell: 4.5154 4.5154 6.5431 Å, 90.00 90.00 120.00°
Sites, in units of the cell vectors:
Ho (0.0000, 0.0000, 0.0000)
Mg (0.0000, 0.0000, 0.5000)
Zn (0.3333, 0.6667, 0.7166)
Zn (0.6667, 0.3333, 0.2834)
Au (0.3333, 0.6667, 0.2642)
Au (0.6667, 0.3333, 0.7358)

Principal peaks in the range 10° ≤ 2θ ≤ 90°, low angle first:
Position (°2θ)  intensity
26.56  816
27.26  184
35.79  1000
39.93  974
48.60  166
49.02  226
54.69  296
69.83  284
71.18  287
72.52  167